Starting from a DFT-relaxed cell (PBE, the Materials Project), the powder diffractogram of SrMgCu2O3 was calculated for Cu Kα (λ = 1.5418 Å).
No peak broadening, texture or thermal motion is included.

Structure:
a = 3.938 Å, b = 3.191 Å, c = 7.193 Å
α = 90.00°, β = 90.01°, γ = 90.00°
Space group P2/m (No. 10)
Unique sites:
Sr1 0.000 0.000 0.000 (multiplicity 1)
Mg1 0.000 0.000 0.500 (multiplicity 1)
Cu1 0.498 0.500 0.293 (multiplicity 2)
O1 0.002 0.500 0.691 (multiplicity 2)
O2 0.500 0.500 0.000 (multiplicity 1)

Peak list (6 most intense, 2θ = 15–90°, low angle first)
index  2θ (°)  Rel. int.
1 0 2  33.75  801
1 1 0  36.23  1000
0 0 3  37.51  353
0 1 2  37.69  931
2 0 0  46.10  394
2 1 2  61.00  423

Starting from a DFT-relaxed cell (PBE, the Materials Project), the powder diffractogram of Sr2MgCu2O4 was calculated for Cu Kα (λ = 1.5418 Å).
No peak broadening, texture or thermal motion is included.

Structure:
a = 20.392 Å, b = 3.313 Å, c = 3.819 Å
α = 90.00°, β = 100.59°, γ = 90.00°
Space group C2/m (No. 12)
Unique sites:
Sr1 0.183 0.000 0.184 (multiplicity 4)
Mg1 0.000 0.000 0.000 (multiplicity 2)
Cu1 0.082 0.500 0.583 (multiplicity 4)
O1 0.067 0.500 0.068 (multiplicity 4)
O2 0.190 0.500 0.692 (multiplicity 4)

Peak list (6 most intense, 2θ = 15–90°, low angle first)
index  2θ (°)  Rel. int.
3 1 0  30.11  157
4 0 1  32.32  255
6 0 -1  32.44  251
5 1 0  35.14  531
1 1 -1  35.87  1000
2 0 -2  47.62  223

Starting from a DFT-relaxed cell (PBE, the Materials Project), the powder diffractogram of Sr2MgCu2O4 was calculated for Cu Kα (λ = 1.5418 Å).
No peak broadening, texture or thermal motion is included.

Structure:
a = 3.363 Å, b = 3.503 Å, c = 11.839 Å
α = 90.00°, β = 97.68°, γ = 90.00°
Space group Pm (No. 6)
Unique sites:
Sr1 0.000 0.000 0.000 (multiplicity 1)
Sr2 0.268 0.500 0.560 (multiplicity 1)
Mg1 0.394 0.000 0.779 (multiplicity 1)
Cu1 0.591 0.500 0.190 (multiplicity 1)
Cu2 0.681 0.000 0.370 (multiplicity 1)
O1 0.440 0.500 0.881 (multiplicity 1)
O2 0.567 0.000 0.142 (multiplicity 1)
O3 0.703 0.500 0.416 (multiplicity 1)
O4 0.843 0.000 0.675 (multiplicity 1)

Peak list (6 most intense, 2θ = 15–90°, low angle first)
index  2θ (°)  Rel. int.
1 0 1  28.81  443
1 0 -2  28.99  471
0 1 3  34.37  1000
1 1 -1  37.26  485
1 0 3  37.73  354
1 0 -4  38.06  340

Starting from a DFT-relaxed cell (PBE, the Materials Project), the powder diffractogram of SrMg14CuO16 was calculated for Cu Kα (λ = 1.5418 Å).
No peak broadening, texture or thermal motion is included.

Structure:
a = 8.641 Å, b = 8.641 Å, c = 4.405 Å
α = 90.00°, β = 90.00°, γ = 90.00°
Space group P4/mmm (No. 123)
Unique sites:
Sr1 0.000 0.000 0.000 (multiplicity 1)
Mg1 0.000 0.260 0.500 (multiplicity 4)
Mg2 0.000 0.500 0.000 (multiplicity 2)
Mg3 0.253 0.500 0.500 (multiplicity 4)
Mg4 0.257 0.257 0.000 (multiplicity 4)
Cu1 0.500 0.500 0.000 (multiplicity 1)
O1 0.000 0.000 0.500 (multiplicity 1)
O2 0.000 0.272 0.000 (multiplicity 4)
O3 0.000 0.500 0.500 (multiplicity 2)
O4 0.250 0.250 0.500 (multiplicity 4)
O5 0.252 0.500 0.000 (multiplicity 4)
O6 0.500 0.500 0.500 (multiplicity 1)

Peak list (6 most intense, 2θ = 15–90°, low angle first)
index  2θ (°)  Rel. int.
2 2 1  35.77  346
0 0 2  40.98  544
4 0 0  41.81  1000
4 0 2  59.98  598
4 4 0  60.62  283
4 4 2  75.78  266

Starting from a DFT-relaxed cell (PBE, the Materials Project), the powder diffractogram of Sr2MgCu4O6 was calculated for Cu Kα (λ = 1.5418 Å).
No peak broadening, texture or thermal motion is included.

Structure:
a = 4.763 Å, b = 9.958 Å, c = 4.106 Å
α = 90.00°, β = 90.00°, γ = 90.00°
Space group Pmm2 (No. 25)
Unique sites:
Sr1 0.000 0.000 0.000 (multiplicity 1)
Sr2 0.500 0.500 0.135 (multiplicity 1)
Mg1 0.500 0.000 0.472 (multiplicity 1)
Cu1 0.000 0.324 0.513 (multiplicity 2)
Cu2 0.500 0.191 0.858 (multiplicity 2)
O1 0.000 0.138 0.504 (multiplicity 2)
O2 0.000 0.500 0.366 (multiplicity 1)
O3 0.500 0.000 0.993 (multiplicity 1)
O4 0.500 0.342 0.622 (multiplicity 2)

Peak list (6 most intense, 2θ = 15–90°, low angle first)
index  2θ (°)  Rel. int.
0 2 1  28.17  770
1 0 1  28.71  600
1 1 1  30.10  719
1 3 0  32.89  872
1 2 1  33.99  783
2 0 0  37.77  1000

Starting from a DFT-relaxed cell (PBE, the Materials Project), the powder diffractogram of SrMgCu2O3 was calculated for Cu Kα (λ = 1.5418 Å).
No peak broadening, texture or thermal motion is included.

Structure:
a = 4.006 Å, b = 11.954 Å, c = 5.733 Å
α = 90.00°, β = 90.00°, γ = 90.00°
Space group Cmmm (No. 65)
Unique sites:
Sr1 0.000 0.000 0.000 (multiplicity 2)
Mg1 0.000 0.000 0.500 (multiplicity 2)
Cu1 0.000 0.330 0.500 (multiplicity 4)
O1 0.000 0.161 0.500 (multiplicity 4)
O2 0.000 0.500 0.500 (multiplicity 2)

Peak list (6 most intense, 2θ = 15–90°, low angle first)
index  2θ (°)  Rel. int.
0 0 1  15.46  1000
0 2 1  21.48  932
1 1 1  28.18  885
0 0 2  31.20  953
1 3 0  31.67  803
1 3 2  45.06  618

Starting from a DFT-relaxed cell (PBE, the Materials Project), the powder diffractogram of Sr2MgCu2O4 was calculated for Cu Kα (λ = 1.5418 Å).
No peak broadening, texture or thermal motion is included.

Structure:
a = 3.456 Å, b = 3.180 Å, c = 24.236 Å
α = 90.00°, β = 90.00°, γ = 90.00°
Space group Amm2 (No. 38)
Unique sites:
Sr1 0.000 0.000 0.000 (multiplicity 2)
Sr2 0.500 0.000 0.366 (multiplicity 2)
Mg1 0.000 0.000 0.259 (multiplicity 2)
Cu1 0.000 0.000 0.674 (multiplicity 2)
Cu2 0.500 0.000 0.601 (multiplicity 2)
O1 0.000 0.000 0.582 (multiplicity 2)
O2 0.000 0.000 0.827 (multiplicity 2)
O3 0.500 0.000 0.462 (multiplicity 2)
O4 0.500 0.000 0.729 (multiplicity 2)

Peak list (6 most intense, 2θ = 15–90°, low angle first)
index  2θ (°)  Rel. int.
1 0 4  29.76  797
0 1 3  30.20  1000
1 0 6  34.14  375
1 1 1  38.65  708
1 1 7  46.86  499
1 1 9  51.75  388

Starting from a DFT-relaxed cell (PBE, the Materials Project), the powder diffractogram of SrMg6CuO8 was calculated for Cu Kα (λ = 1.5418 Å).
No peak broadening, texture or thermal motion is included.

Structure:
a = 4.476 Å, b = 4.476 Å, c = 8.730 Å
α = 90.00°, β = 90.00°, γ = 90.00°
Space group P4/mmm (No. 123)
Unique sites:
Sr1 0.000 0.000 0.000 (multiplicity 1)
Mg1 0.000 0.000 0.500 (multiplicity 1)
Mg2 0.000 0.500 0.260 (multiplicity 4)
Mg3 0.500 0.500 0.500 (multiplicity 1)
Cu1 0.500 0.500 0.000 (multiplicity 1)
O1 0.000 0.000 0.273 (multiplicity 2)
O2 0.000 0.500 0.000 (multiplicity 2)
O3 0.000 0.500 0.500 (multiplicity 2)
O4 0.500 0.500 0.254 (multiplicity 2)

Peak list (6 most intense, 2θ = 15–90°, low angle first)
index  2θ (°)  Rel. int.
1 1 1  30.03  262
1 1 2  35.02  495
2 0 0  40.30  1000
0 0 4  41.37  444
2 2 0  58.30  297
2 0 4  59.12  547